# 1
The following is a theoretical X-ray diffraction stick pattern of Nd7SmMg2. It was derived from DFT lattice parameters and positions (GGA-PBE), using Cu Ka.

Structure:
```
Nd7SmMg2
1.0
4.455 -8.331 0.000
4.455 8.331 0.000
0.000 0.000 5.410
Nd Sm Mg
7 1 2
direct
0.000 0.000 0.000
0.200 0.431 0.000
0.286 0.714 0.500
0.431 0.200 0.000
0.569 0.800 0.000
0.714 0.286 0.500
0.800 0.569 0.000
0.500 0.500 0.500
0.202 0.798 0.000
0.798 0.202 0.000
```

Top 10 peaks for 15 to 90 degrees two-theta, in order of rising 2θ:
| two_theta | intensity |
| --- | --- |
| 16.4 | 16 |
| 19.9 | 19 |
| 25.9 | 37 |
| 27.0 | 44 |
| 29.4 | 51 |
| 33.1 | 100 |
| 34.9 | 52 |
| 44.8 | 32 |
| 61.4 | 38 |
| 81.2 | 17 |

***

# 2
The following is a theoretical X-ray diffraction stick pattern of Pr2NdZr. It was derived from DFT lattice parameters and positions (GGA-PBE), using Cu Ka.

Structure:
```
Pr2NdZr
1.0
3.547 0.000 0.000
-1.774 3.072 0.000
0.000 0.000 35.026
Pr Nd Zr
6 3 3
direct
0.000 0.000 0.000
0.000 0.000 0.179
0.333 0.667 0.667
0.333 0.667 0.846
0.667 0.333 0.333
0.667 0.333 0.513
0.000 0.000 0.422
0.333 0.667 0.088
0.667 0.333 0.755
0.000 0.000 0.590
0.333 0.667 0.257
0.667 0.333 0.923
```

Top 10 peaks for 15 to 90 degrees two-theta, in order of rising 2θ:
| two_theta | intensity |
| --- | --- |
| 29.5 | 21 |
| 30.6 | 42 |
| 30.8 | 21 |
| 31.8 | 100 |
| 34.2 | 56 |
| 39.0 | 23 |
| 51.5 | 33 |
| 53.6 | 25 |
| 61.1 | 35 |
| 61.8 | 15 |

***

# 3
The following is a theoretical X-ray diffraction stick pattern of Pr2TlCu3. It was derived from DFT lattice parameters and positions (GGA-PBE), using Cu Ka.

Structure:
```
Pr2TlCu3
1.0
0.000 4.531 7.933
3.782 0.000 7.933
3.782 4.531 0.000
Pr Tl Cu
4 2 6
direct
0.236 0.764 0.764
0.250 0.250 0.250
0.750 0.750 0.750
0.764 0.236 0.236
0.336 0.336 0.664
0.664 0.664 0.336
0.161 0.680 0.320
0.162 0.162 0.838
0.320 0.839 0.161
0.680 0.161 0.839
0.838 0.838 0.162
0.839 0.320 0.680
```

Top 10 peaks for 15 to 90 degrees two-theta, in order of rising 2θ:
| two_theta | intensity |
| --- | --- |
| 22.7 | 22 |
| 32.7 | 52 |
| 32.8 | 100 |
| 39.5 | 61 |
| 39.8 | 30 |
| 48.1 | 17 |
| 52.4 | 28 |
| 63.9 | 28 |
| 64.2 | 14 |
| 67.2 | 13 |

***

# 4
The following is a theoretical X-ray diffraction stick pattern of Hf3C2. It was derived from DFT lattice parameters and positions (GGA-PBE), using Cu Ka.

Structure:
```
Hf3C2
1.0
0.000 4.662 9.845
3.275 0.000 9.845
3.275 4.662 0.000
Hf C
12 8
direct
0.042 0.547 0.190
0.116 0.634 0.634
0.190 0.720 0.042
0.280 0.810 0.453
0.366 0.884 0.884
0.453 0.958 0.280
0.547 0.042 0.720
0.634 0.116 0.116
0.720 0.190 0.547
0.810 0.280 0.958
0.884 0.366 0.366
0.958 0.453 0.810
0.042 0.042 0.208
0.125 0.125 0.625
0.208 0.208 0.042
0.375 0.375 0.875
0.625 0.625 0.125
0.792 0.792 0.958
0.875 0.875 0.375
0.958 0.958 0.792
```

Top 10 peaks for 15 to 90 degrees two-theta, in order of rising 2θ:
| two_theta | intensity |
| --- | --- |
| 33.4 | 100 |
| 38.6 | 20 |
| 38.8 | 39 |
| 55.9 | 26 |
| 56.0 | 7 |
| 56.2 | 7 |
| 66.6 | 13 |
| 66.9 | 27 |
| 70.1 | 7 |
| 70.2 | 7 |